Simulated powder diffraction line list of GaHPd3 for Cu Kα (weighted mean of Kα1 and Kα2), from the PBE geometry in OQMD.
Lines closer than 0.1° are merged.

Unit cell a=5.594 b=5.594 c=4.049 alpha=90.00 beta=90.00 gamma=90.00
Space group P4bm (No. 100)
Inequivalent atoms, fractional coordinates:
Ga1 0.000 0.500 0.000 (multiplicity 2)
H1 0.000 0.000 0.490 (multiplicity 2)
Pd1 0.000 0.000 0.999 (multiplicity 2)
Pd2 0.207 0.293 0.500 (multiplicity 4)

Most intense lines, 2θ = 10–80°, low angle first:
(2 0 1), 39.14 deg, intensity 100; (2 1 1), 42.47 deg, intensity 14; (0 0 2), 44.76 deg, intensity 20; (2 2 0), 45.88 deg, intensity 27; (2 2 2), 66.03 deg, intensity 18; (2 0 3), 78.72 deg, intensity 12